Structure and simulated X-ray powder pattern of TeAu2O (a DFT-relaxed cell (GGA-PBE, OQMD); Cu Ka).

Cell and atoms:
```
data_TeAu2O
_space_group_name_H-M_alt 'P m c 21'
_space_group_IT_number 26
_cell_length_a 4.084
_cell_length_b 7.114
_cell_length_c 5.781
_cell_angle_alpha 90.00
_cell_angle_beta 90.00
_cell_angle_gamma 90.00
loop_
_space_group_symop_operation_xyz
'x,y,z'
'-x,-y,z+1/2'
'-x,y,z'
'x,-y,z+1/2'
loop_
_atom_site_label
_atom_site_type_symbol
_atom_site_fract_x
_atom_site_fract_y
_atom_site_fract_z
Te1 Te 0.000 0.230 0.000
Au1 Au 0.000 0.191 0.488
Au2 Au 0.500 0.477 0.017
O1 O 0.500 0.212 0.551
```

Main lines, low angle first (15 to 90 degrees two-theta):
Position (°2θ), intensity, (hkl)
25.14, 77, 1 1 0
30.94, 82, 0 0 2
33.41, 100, 1 2 0
40.27, 48, 1 1 2
46.17, 79, 1 2 2
55.07, 33, 2 0 2